# La2Sm2Dy
Calculated X-ray powder pattern, Cu Kα. Input: a DFT-relaxed cell (PBE, Alexandria).

Top 12 peaks for 2θ = 5–70°, by angle:
2theta  I/Imax
27.42  12
29.34  59
29.53  60
31.11  100
31.23  93
37.49  17
47.10  20
56.47  19
56.58  19
56.73  24
57.11  27
57.64  14

Crystal structure
```
data_La2Sm2Dy
_cell_length_a 7.0894
_cell_length_b 7.0894
_cell_length_c 13.4967
_cell_angle_alpha 90.00
_cell_angle_beta 90.00
_cell_angle_gamma 148.42
_space_group_name_H-M_alt 'P 1'
_space_group_IT_number 1
loop_
_space_group_symop_operation_xyz
'x,y,z'
loop_
_atom_site_label
_atom_site_fract_x
_atom_site_fract_y
_atom_site_fract_z
La1 0.0015 0.9985 0.5000
La2 0.2606 0.7394 0.6031
La3 0.7394 0.2606 0.1031
La4 0.9985 0.0015 0.0000
Sm1 0.0981 0.9019 0.2519
Sm2 0.2620 0.7380 0.8977
Sm3 0.7380 0.2620 0.3977
Sm4 0.9019 0.0981 0.7519
Dy1 0.3979 0.6021 0.2533
Dy2 0.6021 0.3979 0.7533
```

=====

# PrSi3Rh3
Calculated X-ray powder pattern, Cu Kα. Input: a DFT-relaxed cell (PBE, Alexandria).

Top 12 peaks for 2θ = 5–70°, by angle:
2theta  I/Imax
12.63  14
15.85  13
17.46  19
29.56  100
37.13  61
38.53  21
41.41  15
47.00  37
47.44  14
56.51  13
59.54  12
62.34  23

Crystal structure
```
data_PrSi3Rh3
_cell_length_a 8.0058
_cell_length_b 8.0058
_cell_length_c 8.0058
_cell_angle_alpha 49.45
_cell_angle_beta 49.45
_cell_angle_gamma 49.45
_space_group_name_H-M_alt 'P 1'
_space_group_IT_number 1
loop_
_space_group_symop_operation_xyz
'x,y,z'
loop_
_atom_site_label
_atom_site_fract_x
_atom_site_fract_y
_atom_site_fract_z
Pr1 0.1681 0.1681 0.1681
Pr2 0.8319 0.8319 0.8319
Si1 0.1297 0.3855 0.6990
Si2 0.3010 0.8703 0.6145
Si3 0.3855 0.6990 0.1297
Si4 0.6145 0.3010 0.8703
Si5 0.6990 0.1297 0.3855
Si6 0.8703 0.6145 0.3010
Rh1 0.0019 0.2658 0.5987
Rh2 0.2658 0.5987 0.0019
Rh3 0.4013 0.9981 0.7342
Rh4 0.5987 0.0019 0.2658
Rh5 0.7342 0.4013 0.9981
Rh6 0.9981 0.7342 0.4013
```